No. 1
Diffraction record for ScRh3. The powder diffractogram is calculated, not measured: it uses a cell relaxed with PBE and Cu Ka.
Lines closer than 0.1° are merged.

Largest 12 diffraction maxima, by intensity, 15° ≤ 2θ ≤ 90°:
2θ 39.62, rel. 100; 2θ 46.07, rel. 48; 2θ 80.91, rel. 35; 2θ 67.20, rel. 30; 2θ 85.33, rel. 10; 2θ 22.56, rel. 9; 2θ 32.12, rel. 8; 2θ 51.89, rel. 4; 2θ 57.27, rel. 3; 2θ 71.88, rel. 2; 2θ 76.44, rel. 1; 2θ 89.72, rel. 1

Structural model:
```
ScRh3
1.0
3.940 0.000 0.000
0.000 3.940 0.000
0.000 0.000 3.940
Sc Rh
1 3
direct
0.000 0.000 0.000 Sc
0.000 0.500 0.500 Rh
0.500 0.000 0.500 Rh
0.500 0.500 0.000 Rh
```

=====

No. 2
Diffraction record for Sc3Si3Rh. The powder diffractogram is calculated, not measured: it uses a cell relaxed with PBE and Cu Ka.
Lines closer than 0.1° are merged.

Largest 12 diffraction maxima, by intensity, 15° ≤ 2θ ≤ 90°:
2θ 36.52, rel. 100; 2θ 44.98, rel. 36; 2θ 35.28, rel. 34; 2θ 44.67, rel. 24; 2θ 18.90, rel. 23; 2θ 40.56, rel. 23; 2θ 37.78, rel. 22; 2θ 26.85, rel. 16; 2θ 24.93, rel. 15; 2θ 39.43, rel. 14; 2θ 15.12, rel. 13; 2θ 62.16, rel. 12

Structural model:
```
Sc3Si3Rh
1.0
11.721 0.000 0.000
0.000 4.030 0.000
0.000 0.000 10.248
Sc Si Rh
12 12 4
direct
0.020 0.250 0.123 Sc
0.102 0.250 0.421 Sc
0.201 0.750 0.659 Sc
0.299 0.250 0.159 Sc
0.398 0.750 0.921 Sc
0.480 0.750 0.623 Sc
0.520 0.250 0.377 Sc
0.602 0.250 0.079 Sc
0.701 0.750 0.841 Sc
0.799 0.250 0.341 Sc
0.898 0.750 0.579 Sc
0.980 0.750 0.877 Sc
0.045 0.250 0.693 Si
0.158 0.750 0.250 Si
0.177 0.750 0.015 Si
0.323 0.250 0.515 Si
0.342 0.250 0.750 Si
0.455 0.750 0.193 Si
0.545 0.250 0.807 Si
0.658 0.750 0.250 Si
0.677 0.750 0.485 Si
0.823 0.250 0.985 Si
0.842 0.250 0.750 Si
0.955 0.750 0.307 Si
0.178 0.250 0.889 Rh
0.322 0.750 0.389 Rh
0.678 0.250 0.611 Rh
0.822 0.750 0.111 Rh
```

=====

No. 3
Diffraction record for ScSiRh. The powder diffractogram is calculated, not measured: it uses a cell relaxed with PBE and Cu Ka.
Lines closer than 0.1° are merged.

Largest 12 diffraction maxima, by intensity, 15° ≤ 2θ ≤ 90°:
2θ 43.36, rel. 100; 2θ 28.57, rel. 51; 2θ 35.79, rel. 50; 2θ 18.24, rel. 39; 2θ 37.38, rel. 39; 2θ 35.21, rel. 34; 2θ 44.43, rel. 34; 2θ 71.37, rel. 23; 2θ 63.84, rel. 22; 2θ 36.97, rel. 15; 2θ 46.60, rel. 13; 2θ 70.83, rel. 11

Structural model:
```
ScSiRh
1.0
6.530 0.000 0.000
0.000 4.078 0.000
0.000 0.000 7.287
Sc Si Rh
4 4 4
direct
0.009 0.250 0.189 Sc
0.491 0.750 0.689 Sc
0.509 0.250 0.311 Sc
0.991 0.750 0.811 Sc
0.215 0.750 0.385 Si
0.285 0.250 0.885 Si
0.715 0.750 0.115 Si
0.785 0.250 0.615 Si
0.157 0.250 0.563 Rh
0.343 0.750 0.063 Rh
0.657 0.250 0.937 Rh
0.843 0.750 0.437 Rh
```

=====

No. 4
Diffraction record for ScSi2Rh. The powder diffractogram is calculated, not measured: it uses a cell relaxed with PBE and Cu Ka.
Lines closer than 0.1° are merged.

Largest 12 diffraction maxima, by intensity, 15° ≤ 2θ ≤ 90°:
2θ 16.76, rel. 100; 2θ 37.22, rel. 79; 2θ 38.62, rel. 63; 2θ 44.83, rel. 53; 2θ 35.83, rel. 51; 2θ 32.22, rel. 47; 2θ 46.95, rel. 44; 2θ 49.55, rel. 41; 2θ 35.98, rel. 38; 2θ 66.93, rel. 29; 2θ 46.32, rel. 29; 2θ 40.24, rel. 27

Structural model:
```
ScSi2Rh
1.0
6.346 0.000 0.000
0.000 4.044 0.000
0.000 0.000 9.582
Sc Si Rh
4 8 4
direct
0.240 0.250 0.182 Sc
0.260 0.750 0.682 Sc
0.740 0.250 0.318 Sc
0.760 0.750 0.818 Sc
0.043 0.750 0.342 Si
0.231 0.250 0.471 Si
0.269 0.750 0.971 Si
0.457 0.250 0.842 Si
0.543 0.750 0.158 Si
0.731 0.250 0.029 Si
0.769 0.750 0.529 Si
0.957 0.250 0.658 Si
0.084 0.250 0.900 Rh
0.416 0.750 0.400 Rh
0.584 0.250 0.600 Rh
0.916 0.750 0.100 Rh
```

=====

No. 5
Diffraction record for ScSiRh2. The powder diffractogram is calculated, not measured: it uses a cell relaxed with PBE and Cu Ka.
Lines closer than 0.1° are merged.

Largest 8 diffraction maxima, by intensity, 15° ≤ 2θ ≤ 90°:
2θ 41.35, rel. 100; 2θ 75.41, rel. 32; 2θ 28.92, rel. 31; 2θ 59.91, rel. 16; 2θ 67.87, rel. 11; 2θ 89.85, rel. 11; 2θ 51.25, rel. 9; 2θ 24.97, rel. 1

Structural model:
```
ScSiRh2
1.0
6.175 0.000 0.000
0.000 6.175 0.000
0.000 0.000 6.175
Sc Si Rh
4 4 8
direct
0.000 0.000 0.000 Sc
0.000 0.500 0.500 Sc
0.500 0.000 0.500 Sc
0.500 0.500 0.000 Sc
0.000 0.000 0.500 Si
0.000 0.500 0.000 Si
0.500 0.000 0.000 Si
0.500 0.500 0.500 Si
0.250 0.250 0.250 Rh
0.250 0.250 0.750 Rh
0.250 0.750 0.250 Rh
0.250 0.750 0.750 Rh
0.750 0.250 0.250 Rh
0.750 0.250 0.750 Rh
0.750 0.750 0.250 Rh
0.750 0.750 0.750 Rh
```

=====

No. 6
Diffraction record for ScSi7Rh3. The powder diffractogram is calculated, not measured: it uses a cell relaxed with PBE and Cu Ka.
Lines closer than 0.1° are merged.

Largest 12 diffraction maxima, by intensity, 15° ≤ 2θ ≤ 90°:
2θ 27.16, rel. 100; 2θ 50.11, rel. 70; 2θ 47.79, rel. 45; 2θ 41.33, rel. 35; 2θ 36.09, rel. 25; 2θ 66.94, rel. 19; 2θ 71.62, rel. 18; 2θ 26.99, rel. 16; 2θ 36.55, rel. 13; 2θ 79.99, rel. 12; 2θ 40.72, rel. 12; 2θ 23.51, rel. 11

Structural model:
```
ScSi7Rh3
1.0
3.784 2.185 6.607
-3.784 2.185 6.607
0.000 -4.370 6.607
Sc Si Rh
2 14 6
direct
0.000 0.000 0.000 Sc
0.500 0.500 0.500 Sc
0.066 0.852 0.672 Si
0.148 0.328 0.934 Si
0.172 0.352 0.566 Si
0.250 0.250 0.250 Si
0.328 0.934 0.148 Si
0.352 0.566 0.172 Si
0.434 0.828 0.648 Si
0.566 0.172 0.352 Si
0.648 0.434 0.828 Si
0.672 0.066 0.852 Si
0.750 0.750 0.750 Si
0.828 0.648 0.434 Si
0.852 0.672 0.066 Si
0.934 0.148 0.328 Si
0.072 0.750 0.428 Rh
0.250 0.572 0.928 Rh
0.428 0.072 0.750 Rh
0.572 0.928 0.250 Rh
0.750 0.428 0.072 Rh
0.928 0.250 0.572 Rh
```

=====

No. 7
Diffraction record for Rh2Se3. The powder diffractogram is calculated, not measured: it uses a cell relaxed with PBE and Cu Ka.
Lines closer than 0.1° are merged.

Largest 12 diffraction maxima, by intensity, 15° ≤ 2θ ≤ 90°:
2θ 49.25, rel. 100; 2θ 27.78, rel. 85; 2θ 39.43, rel. 66; 2θ 32.89, rel. 65; 2θ 48.57, rel. 48; 2θ 49.07, rel. 44; 2θ 45.13, rel. 40; 2θ 31.12, rel. 38; 2θ 32.70, rel. 33; 2θ 27.32, rel. 33; 2θ 32.34, rel. 32; 2θ 36.76, rel. 31

Structural model:
```
Rh2Se3
1.0
9.029 0.000 0.000
0.000 6.401 0.000
0.000 0.000 6.529
Rh Se
8 12
direct
0.108 0.248 0.032 Rh
0.108 0.752 0.532 Rh
0.392 0.252 0.532 Rh
0.392 0.748 0.032 Rh
0.608 0.252 0.968 Rh
0.608 0.748 0.468 Rh
0.892 0.248 0.468 Rh
0.892 0.752 0.968 Rh
0.000 0.455 0.750 Se
0.000 0.545 0.250 Se
0.151 0.110 0.395 Se
0.151 0.890 0.895 Se
0.349 0.390 0.895 Se
0.349 0.610 0.395 Se
0.500 0.045 0.250 Se
0.500 0.955 0.750 Se
0.651 0.390 0.605 Se
0.651 0.610 0.105 Se
0.849 0.110 0.105 Se
0.849 0.890 0.605 Se
```

=====

No. 8
Diffraction record for RhSe2. The powder diffractogram is calculated, not measured: it uses a cell relaxed with PBE and Cu Ka.
Lines closer than 0.1° are merged.

Largest 12 diffraction maxima, by intensity, 15° ≤ 2θ ≤ 90°:
2θ 49.56, rel. 100; 2θ 32.83, rel. 77; 2θ 36.07, rel. 61; 2θ 29.28, rel. 54; 2θ 41.89, rel. 36; 2θ 56.44, rel. 33; 2θ 82.10, rel. 32; 2θ 54.22, rel. 21; 2θ 25.29, rel. 18; 2θ 70.78, rel. 16; 2θ 85.78, rel. 15; 2θ 68.83, rel. 14

Structural model:
```
RhSe2
1.0
6.100 0.000 0.000
0.000 6.100 0.000
0.000 0.000 6.100
Rh Se
4 8
direct
0.000 0.000 0.000 Rh
0.000 0.500 0.500 Rh
0.500 0.000 0.500 Rh
0.500 0.500 0.000 Rh
0.122 0.622 0.878 Se
0.122 0.878 0.378 Se
0.378 0.122 0.878 Se
0.378 0.378 0.378 Se
0.622 0.622 0.622 Se
0.622 0.878 0.122 Se
0.878 0.122 0.622 Se
0.878 0.378 0.122 Se
```

=====

No. 9
Diffraction record for RhSe2. The powder diffractogram is calculated, not measured: it uses a cell relaxed with PBE and Cu Ka.
Lines closer than 0.1° are merged.

Largest 12 diffraction maxima, by intensity, 15° ≤ 2θ ≤ 90°:
2θ 32.62, rel. 100; 2θ 28.96, rel. 97; 2θ 47.87, rel. 84; 2θ 34.21, rel. 57; 2θ 51.47, rel. 55; 2θ 48.02, rel. 53; 2θ 19.34, rel. 36; 2θ 36.56, rel. 32; 2θ 35.06, rel. 31; 2θ 41.91, rel. 30; 2θ 40.96, rel. 28; 2θ 43.91, rel. 26

Structural model:
```
RhSe2
1.0
21.223 0.000 0.000
0.000 3.789 0.000
0.000 0.000 6.029
Rh Se
8 16
direct
0.076 0.250 0.072 Rh
0.195 0.750 0.556 Rh
0.305 0.250 0.056 Rh
0.424 0.750 0.572 Rh
0.576 0.250 0.428 Rh
0.695 0.750 0.944 Rh
0.805 0.250 0.444 Rh
0.924 0.750 0.928 Rh
0.008 0.750 0.224 Se
0.121 0.250 0.453 Se
0.140 0.750 0.928 Se
0.237 0.750 0.179 Se
0.263 0.250 0.679 Se
0.360 0.250 0.428 Se
0.379 0.750 0.953 Se
0.492 0.250 0.724 Se
0.508 0.750 0.276 Se
0.621 0.250 0.047 Se
0.640 0.750 0.572 Se
0.737 0.750 0.321 Se
0.763 0.250 0.821 Se
0.860 0.250 0.072 Se
0.879 0.750 0.547 Se
0.992 0.250 0.776 Se
```

=====

No. 10
Diffraction record for U12Rh4Se31. The powder diffractogram is calculated, not measured: it uses a cell relaxed with PBE and Cu Ka.
Lines closer than 0.1° are merged.

Largest 12 diffraction maxima, by intensity, 15° ≤ 2θ ≤ 90°:
2θ 35.92, rel. 100; 2θ 33.36, rel. 99; 2θ 48.87, rel. 67; 2θ 38.32, rel. 61; 2θ 37.14, rel. 52; 2θ 27.64, rel. 31; 2θ 39.48, rel. 29; 2θ 15.85, rel. 27; 2θ 50.77, rel. 26; 2θ 22.49, rel. 23; 2θ 73.89, rel. 22; 2θ 57.91, rel. 21

Structural model:
```
U12Rh4Se31
1.0
-6.843 6.843 6.857
6.843 -6.843 6.857
6.843 6.843 -6.857
U Rh Se
12 4 31
direct
0.091 0.795 0.296 U
0.200 0.200 0.399 U
0.200 0.800 0.000 U
0.205 0.501 0.296 U
0.205 0.909 0.704 U
0.499 0.795 0.704 U
0.501 0.205 0.296 U
0.795 0.091 0.296 U
0.795 0.499 0.704 U
0.800 0.200 0.000 U
0.800 0.800 0.601 U
0.909 0.205 0.704 U
0.000 0.000 0.500 Rh
0.000 0.500 0.000 Rh
0.500 0.000 0.000 Rh
0.500 0.500 0.500 Rh
0.000 0.000 0.000 Se
0.000 0.263 0.263 Se
0.000 0.737 0.737 Se
0.060 0.060 0.748 Se
0.060 0.311 0.000 Se
0.063 0.245 0.562 Se
0.063 0.500 0.818 Se
0.245 0.063 0.562 Se
0.245 0.683 0.182 Se
0.250 0.750 0.500 Se
0.263 0.000 0.263 Se
0.311 0.060 0.000 Se
0.311 0.311 0.252 Se
0.317 0.500 0.562 Se
0.317 0.755 0.818 Se
0.500 0.063 0.818 Se
0.500 0.317 0.562 Se
0.500 0.683 0.438 Se
0.500 0.937 0.182 Se
0.683 0.245 0.182 Se
0.683 0.500 0.438 Se
0.689 0.689 0.748 Se
0.689 0.940 0.000 Se
0.737 0.000 0.737 Se
0.750 0.250 0.500 Se
0.755 0.317 0.818 Se
0.755 0.937 0.438 Se
0.937 0.500 0.182 Se
0.937 0.755 0.438 Se
0.940 0.689 0.000 Se
0.940 0.940 0.252 Se
```

=====

No. 11
Diffraction record for SiRh3. The powder diffractogram is calculated, not measured: it uses a cell relaxed with PBE and Cu Ka.
Lines closer than 0.1° are merged.

Largest 12 diffraction maxima, by intensity, 15° ≤ 2θ ≤ 90°:
2θ 41.17, rel. 100; 2θ 46.99, rel. 34; 2θ 83.29, rel. 25; 2θ 70.80, rel. 19; 2θ 26.05, rel. 17; 2θ 49.69, rel. 14; 2θ 87.33, rel. 11; 2θ 89.37, rel. 11; 2θ 68.65, rel. 11; 2θ 24.26, rel. 5; 2θ 32.75, rel. 5; 2θ 54.51, rel. 4

Structural model:
```
SiRh3
1.0
3.867 0.000 0.000
0.000 3.867 0.000
0.000 0.000 7.339
Si Rh
2 6
direct
0.000 0.000 0.000 Si
0.500 0.500 0.500 Si
0.000 0.000 0.500 Rh
0.000 0.500 0.250 Rh
0.000 0.500 0.750 Rh
0.500 0.000 0.250 Rh
0.500 0.000 0.750 Rh
0.500 0.500 0.000 Rh
```

=====

What did the fourth record say?
Diffraction record for ScSi2Rh. The powder diffractogram is calculated, not measured: it uses a cell relaxed with PBE and Cu Ka.
Lines closer than 0.1° are merged.

Largest 12 diffraction maxima, by intensity, 15° ≤ 2θ ≤ 90°:
2θ 16.76, rel. 100; 2θ 37.22, rel. 79; 2θ 38.62, rel. 63; 2θ 44.83, rel. 53; 2θ 35.83, rel. 51; 2θ 32.22, rel. 47; 2θ 46.95, rel. 44; 2θ 49.55, rel. 41; 2θ 35.98, rel. 38; 2θ 66.93, rel. 29; 2θ 46.32, rel. 29; 2θ 40.24, rel. 27

Structural model:
```
ScSi2Rh
1.0
6.346 0.000 0.000
0.000 4.044 0.000
0.000 0.000 9.582
Sc Si Rh
4 8 4
direct
0.240 0.250 0.182 Sc
0.260 0.750 0.682 Sc
0.740 0.250 0.318 Sc
0.760 0.750 0.818 Sc
0.043 0.750 0.342 Si
0.231 0.250 0.471 Si
0.269 0.750 0.971 Si
0.457 0.250 0.842 Si
0.543 0.750 0.158 Si
0.731 0.250 0.029 Si
0.769 0.750 0.529 Si
0.957 0.250 0.658 Si
0.084 0.250 0.900 Rh
0.416 0.750 0.400 Rh
0.584 0.250 0.600 Rh
0.916 0.750 0.100 Rh
```

=====

Please write out number 3 again, unchanged.
Diffraction record for ScSiRh. The powder diffractogram is calculated, not measured: it uses a cell relaxed with PBE and Cu Ka.
Lines closer than 0.1° are merged.

Largest 12 diffraction maxima, by intensity, 15° ≤ 2θ ≤ 90°:
2θ 43.36, rel. 100; 2θ 28.57, rel. 51; 2θ 35.79, rel. 50; 2θ 18.24, rel. 39; 2θ 37.38, rel. 39; 2θ 35.21, rel. 34; 2θ 44.43, rel. 34; 2θ 71.37, rel. 23; 2θ 63.84, rel. 22; 2θ 36.97, rel. 15; 2θ 46.60, rel. 13; 2θ 70.83, rel. 11

Structural model:
```
ScSiRh
1.0
6.530 0.000 0.000
0.000 4.078 0.000
0.000 0.000 7.287
Sc Si Rh
4 4 4
direct
0.009 0.250 0.189 Sc
0.491 0.750 0.689 Sc
0.509 0.250 0.311 Sc
0.991 0.750 0.811 Sc
0.215 0.750 0.385 Si
0.285 0.250 0.885 Si
0.715 0.750 0.115 Si
0.785 0.250 0.615 Si
0.157 0.250 0.563 Rh
0.343 0.750 0.063 Rh
0.657 0.250 0.937 Rh
0.843 0.750 0.437 Rh
```